Nd2ReN5: computed PXRD pattern (a wavelength of 1.5418 Å), based on a DFT-relaxed cell (PBE, Alexandria).

```
data_Nd2ReN5
_chemical_formula_sum 'Nd4 Re2 N10'
_space_group_name_H-M_alt 'P 1'
_space_group_IT_number 1
_space_group_name_Hall 'P 1'
_cell_length_a 6.5548
_cell_length_b 6.5548
_cell_length_c 11.0898
_cell_angle_alpha 90.00
_cell_angle_beta 90.00
_cell_angle_gamma 144.70
loop_
_atom_site_label
_atom_site_fract_x
_atom_site_fract_y
_atom_site_fract_z
_atom_site_occupancy
Nd1 0.1451 0.8549 0.5663 1
Nd2 0.1451 0.8549 0.9337 1
Nd3 0.8549 0.1451 0.0663 1
Nd4 0.8549 0.1451 0.4337 1
Re1 0.1391 0.8609 0.2500 1
Re2 0.8609 0.1391 0.7500 1
N1 0.0464 0.9536 0.1248 1
N2 0.0464 0.9536 0.3752 1
N3 0.2689 0.7311 0.1093 1
N4 0.2689 0.7311 0.3907 1
N5 0.3307 0.6693 0.7500 1
N6 0.6693 0.3307 0.2500 1
N7 0.7311 0.2689 0.6093 1
N8 0.7311 0.2689 0.8907 1
N9 0.9536 0.0464 0.6248 1
N10 0.9536 0.0464 0.8752 1
```

Most intense lines, 10° ≤ 2θ ≤ 90°, low angle first:
2theta	I/Imax
14.18	17
23.49	74
28.05	100
28.58	36
31.11	55
33.88	59
39.71	17
45.65	18
49.66	45
54.44	32

CaPm2Pt3: computed PXRD pattern (a wavelength of 1.5418 Å), based on a DFT-relaxed cell (PBE, Alexandria).

```
data_CaPm2Pt3
_chemical_formula_sum 'Ca1 Pm2 Pt3'
_space_group_name_H-M_alt 'P 1'
_space_group_IT_number 1
_space_group_name_Hall 'P 1'
_cell_length_a 3.5414
_cell_length_b 3.5414
_cell_length_c 10.8109
_cell_angle_alpha 90.00
_cell_angle_beta 90.00
_cell_angle_gamma 90.00
loop_
_atom_site_label
_atom_site_fract_x
_atom_site_fract_y
_atom_site_fract_z
_atom_site_occupancy
Ca1 0.0000 0.0000 0.0000 1
Pm1 0.0000 0.0000 0.3290 1
Pm2 0.0000 0.0000 0.6710 1
Pt1 0.5000 0.5000 0.1743 1
Pt2 0.5000 0.5000 0.5000 1
Pt3 0.5000 0.5000 0.8257 1
```

Most intense lines, 10° ≤ 2θ ≤ 90°, low angle first:
2theta	I/Imax
25.15	8
35.54	100
35.86	49
50.66	9
51.62	18
63.62	18
64.24	36
75.24	11
86.82	8
87.01	8